[1]
The following is a computed X-ray diffraction stick pattern of Na2LaCdF8. It was derived from DFT lattice parameters and positions (PBE), using Cu Kα (weighted mean of Kα1 and Kα2).
No peak broadening, texture or thermal motion is included.

Structure:
abc: 4.002 5.538 7.889
angles: 90.00 90.00 90.00
Fractional coordinates of all 12 atoms:
Na (0.000, 0.000, 0.240)
Na (0.000, 0.000, 0.760)
La (0.500, 0.500, 0.500)
Cd (0.500, 0.500, 0.000)
F (0.000, 0.255, 0.500)
F (0.000, 0.269, 0.000)
F (0.000, 0.731, 0.000)
F (0.000, 0.745, 0.500)
F (0.500, 0.259, 0.243)
F (0.500, 0.259, 0.757)
F (0.500, 0.741, 0.243)
F (0.500, 0.741, 0.757)

The 10 most intense peaks (10 to 90 degrees two-theta), sorted by position:
16.00°, rel. 68
22.21°, rel. 29
22.54°, rel. 28
27.50°, rel. 75
27.77°, rel. 74
35.84°, rel. 31
45.32°, rel. 21
46.02°, rel. 100
53.98°, rel. 22
54.45°, rel. 21


[2]
The following is a computed X-ray diffraction stick pattern of Rb2LaCdF8. It was derived from DFT lattice parameters and positions (PBE), using Cu Kα (weighted mean of Kα1 and Kα2).
No peak broadening, texture or thermal motion is included.

Structure:
abc: 4.092 8.003 6.632
angles: 90.00 90.13 90.00
Fractional coordinates of all 12 atoms:
Rb (0.000, 0.242, 0.000)
Rb (0.000, 0.758, 0.000)
La (0.500, 0.500, 0.500)
Cd (0.500, 0.000, 0.500)
F (0.000, 0.500, 0.296)
F (0.000, 0.500, 0.704)
F (0.002, 0.000, 0.310)
F (0.499, 0.245, 0.703)
F (0.499, 0.755, 0.703)
F (0.501, 0.245, 0.297)
F (0.501, 0.755, 0.297)
F (0.998, 0.000, 0.690)

The 10 most intense peaks (10 to 90 degrees two-theta), sorted by position:
13.35°, rel. 21
25.58°, rel. 100
26.01°, rel. 98
26.89°, rel. 21
31.27°, rel. 23
41.70°, rel. 90
44.27°, rel. 21
46.70°, rel. 20
52.06°, rel. 28
52.77°, rel. 26


[3]
The following is a computed X-ray diffraction stick pattern of LiCdF4. It was derived from DFT lattice parameters and positions (PBE), using Cu Kα (weighted mean of Kα1 and Kα2).
No peak broadening, texture or thermal motion is included.

Structure:
abc: 5.984 5.984 5.984
angles: 106.40 106.40 115.81
Fractional coordinates of all 12 atoms:
Li (0.000, 0.000, 0.000)
Li (0.750, 0.250, 0.500)
Cd (0.260, 0.760, 0.500)
Cd (0.510, 0.510, 0.000)
F (0.181, 0.497, 0.685)
F (0.247, 0.062, 0.815)
F (0.247, 0.431, 0.185)
F (0.322, 0.014, 0.308)
F (0.706, 0.014, 0.692)
F (0.764, 0.572, 0.808)
F (0.764, 0.956, 0.192)
F (0.812, 0.497, 0.315)

The 10 most intense peaks (10 to 90 degrees two-theta), sorted by position:
18.65°, rel. 100
24.84°, rel. 79
31.24°, rel. 62
33.26°, rel. 35
40.32°, rel. 15
47.93°, rel. 20
49.37°, rel. 53
50.95°, rel. 15
51.70°, rel. 14
62.21°, rel. 21